Record 1
For Cs5Ni2S5, a cell relaxed with GGA-PBE gives the theoretical X-ray diffraction stick pattern in this record (Cu Kα (weighted mean of Kα1 and Kα2)).

Structure:
Cell: 15.506 4.200 11.475 Å, 90.00 93.39 90.00°
Space group C2/m (No. 12)
Asymmetric unit:
Cs (0.000, 0.000, 0.000)
Cs (0.150, 0.000, 0.575)
Cs (0.210, 0.500, 0.145)
Ni (0.011, 0.500, 0.306)
S (0.000, 0.500, 0.500)
S (0.068, 0.000, 0.287)
S (0.112, 0.500, 0.811)

The 10 most intense peaks (2θ from 10° to 90°), sorted by position:
| 2θ (°) | I_rel | index |
| --- | --- | --- |
| 26.64 | 45 | 2 0 3 |
| 27.03 | 19 | 4 0 -2 |
| 27.15 | 21 | 1 1 2 |
| 28.20 | 100 | 3 1 -1 |
| 28.78 | 19 | 3 1 1 |
| 32.46 | 32 | 1 1 3 |
| 32.69 | 32 | 2 0 -4 |
| 36.11 | 19 | 6 0 1 |
| 40.15 | 20 | 5 1 2 |
| 43.08 | 24 | 0 2 0 |


Record 2
For Mg6In3Hg, a cell relaxed with GGA-PBE gives the theoretical X-ray diffraction stick pattern in this record (Cu Kα (weighted mean of Kα1 and Kα2)).

Structure:
Cell: 9.776 4.547 10.250 Å, 90.00 92.05 90.00°
Space group P2_1/m (No. 11)
Asymmetric unit:
Mg (0.047, 0.250, 0.401)
Mg (0.148, 0.750, 0.199)
Mg (0.269, 0.250, 0.005)
Mg (0.347, 0.250, 0.304)
Mg (0.363, 0.750, 0.815)
Mg (0.447, 0.250, 0.602)
In (0.050, 0.750, 0.901)
In (0.154, 0.250, 0.705)
In (0.254, 0.750, 0.496)
Hg (0.441, 0.750, 0.122)

The 10 most intense peaks (2θ from 10° to 90°), sorted by position:
| 2θ (°) | I_rel | index |
| --- | --- | --- |
| 20.42 | 76 | 2 0 1 |
| 27.57 | 70 | 1 1 -2 |
| 34.36 | 100 | 1 1 3 |
| 34.75 | 98 | 3 1 -1 |
| 39.13 | 32 | 2 0 -4 |
| 39.64 | 35 | 0 2 0 |
| 41.53 | 30 | 4 0 2 |
| 44.99 | 20 | 2 2 1 |
| 56.92 | 21 | 2 2 -4 |
| 58.77 | 23 | 4 2 2 |


Record 3
For SiW2, a cell relaxed with GGA-PBE gives the theoretical X-ray diffraction stick pattern in this record (Cu Kα (weighted mean of Kα1 and Kα2)).

Structure:
Cell: 5.373 4.194 7.999 Å, 90.00 90.00 90.00°
Space group Pnma (No. 62)
Asymmetric unit:
Si (0.196, 0.250, 0.112)
W (0.077, 0.250, 0.782)
W (0.191, 0.250, 0.439)

The 10 most intense peaks (2θ from 10° to 90°), sorted by position:
| 2θ (°) | I_rel | index |
| --- | --- | --- |
| 23.96 | 27 | 0 1 1 |
| 27.81 | 34 | 1 0 2 |
| 29.23 | 57 | 1 1 1 |
| 35.23 | 34 | 1 1 2 |
| 39.85 | 74 | 2 1 0 |
| 40.07 | 100 | 0 1 3 |
| 40.45 | 32 | 2 0 2 |
| 41.48 | 43 | 2 1 1 |
| 43.14 | 54 | 0 2 0 |
| 48.08 | 33 | 2 0 3 |


Record 4
For CaIn2Au7, a cell relaxed with GGA-PBE gives the theoretical X-ray diffraction stick pattern in this record (Cu Kα (weighted mean of Kα1 and Kα2)).

Structure:
Cell: 6.863 16.760 4.052 Å, 90.00 90.00 90.00°
Space group Cmmm (No. 65)
Asymmetric unit:
Ca (0.000, 0.000, 0.000)
In (0.000, 0.260, 0.500)
Au (0.000, 0.378, 0.000)
Au (0.000, 0.500, 0.500)
Au (0.201, 0.115, 0.500)

The 10 most intense peaks (2θ from 10° to 90°), sorted by position:
| 2θ (°) | I_rel | index |
| --- | --- | --- |
| 13.94 | 24 | 1 1 0 |
| 21.20 | 31 | 0 4 0 |
| 21.94 | 38 | 0 0 1 |
| 30.20 | 40 | 1 3 1 |
| 33.76 | 20 | 2 4 0 |
| 37.20 | 44 | 1 5 1 |
| 39.77 | 23 | 3 1 0 |
| 40.63 | 100 | 2 4 1 |
| 43.18 | 25 | 0 8 0 |
| 44.73 | 27 | 0 0 2 |